# 1
This entry pairs a crystal structure of CsAl with its theoretical X-ray powder pattern. Radiation: λ = 1.5418 Å (Cu Kα). Structure: a cell relaxed with GGA-PBE.

Largest 12 diffraction maxima, low angle first, 15 to 90 degrees two-theta:
d/Å  I/Imax
5.546  100.0
4.529  64.8
3.922  97.9
3.202  25.4
2.965  60.0
2.615  80.7
2.480  24.7
2.175  31.4
1.902  32.5
1.799  53.1
1.636  23.0
1.290  23.1

Cell and atoms:
a = 11.0927 Å, b = 11.0927 Å, c = 11.0927 Å
α = 90.00°, β = 90.00°, γ = 90.00°
Space group I-43m (No. 217)
Unique sites:
Cs  0.2104  0.2104  0.7896
Al  0.0873  0.0873  0.0873

=====

# 2
This entry pairs a crystal structure of Li4TlN with its theoretical X-ray powder pattern. Radiation: λ = 1.5418 Å (Cu Kα). Structure: a cell relaxed with GGA-PBE.

Largest 12 diffraction maxima, low angle first, 15 to 90 degrees two-theta:
d/Å  I/Imax
5.051  26.1
3.855  46.6
3.420  10.4
3.325  100.0
3.285  30.0
2.716  18.2
2.510  25.3
2.502  28.9
2.402  30.3
2.135  14.3
1.905  16.7
1.664  15.4

Cell and atoms:
a = 5.4324 Å, b = 5.4716 Å, c = 7.6060 Å
α = 110.96°, β = 110.77°, γ = 90.02°
Space group P-1 (No. 2)
Unique sites:
Li  0.1431  0.0658  0.2874
Li  0.2266  0.7266  0.9556
Li  0.2732  0.2708  0.0442
Li  0.3573  0.2786  0.7127
Tl  0.2490  0.6776  0.4987
N  0.0000  0.0000  0.0000
N  0.5000  0.5000  0.0000

=====

# 3
This entry pairs a crystal structure of YHfCu with its theoretical X-ray powder pattern. Radiation: λ = 1.5418 Å (Cu Kα). Structure: a cell relaxed with GGA-PBE.

Largest 12 diffraction maxima, low angle first, 15 to 90 degrees two-theta:
d/Å  I/Imax
2.853  100.0
2.328  21.8
2.312  67.9
2.278  12.6
2.220  53.7
2.111  12.8
1.606  13.1
1.590  16.6
1.570  17.8
1.501  11.9
1.375  21.5
1.299  21.0

Cell and atoms:
a = 4.4398 Å, b = 4.4398 Å, c = 13.6673 Å
α = 90.00°, β = 90.00°, γ = 90.00°
Space group I4/mmm (No. 139)
Unique sites:
Y  0.0000  0.0000  0.1837
Hf  0.0000  0.5000  0.0000
Cu  0.0000  0.0000  0.3855

=====

# 4
This entry pairs a crystal structure of PuTi2H4 with its theoretical X-ray powder pattern. Radiation: λ = 1.5418 Å (Cu Kα). Structure: a cell relaxed with GGA-PBE.

Largest 12 diffraction maxima, low angle first, 15 to 90 degrees two-theta:
d/Å  I/Imax
4.847  60.4
2.970  100.0
2.959  19.8
2.534  86.0
2.525  42.6
1.928  13.3
1.716  24.9
1.713  16.5
1.618  22.0
1.486  14.8
1.329  12.7
1.095  11.4

Cell and atoms:
a = 8.3695 Å, b = 8.4103 Å, c = 5.9182 Å
α = 90.00°, β = 134.77°, γ = 90.00°
Space group C2/c (No. 15)
Unique sites:
Pu  0.0000  0.1234  0.2500
Ti  0.0000  0.5000  0.0000
Ti  0.2500  0.2500  0.0000
H  0.0009  0.2763  0.5523
H  0.1978  0.4734  0.9471

=====

# 5
This entry pairs a crystal structure of CaTl2Pd with its theoretical X-ray powder pattern. Radiation: λ = 1.5418 Å (Cu Kα). Structure: a cell relaxed with GGA-PBE.

Largest 12 diffraction maxima, low angle first, 15 to 90 degrees two-theta:
d/Å  I/Imax
4.718  26.5
4.248  24.2
4.007  25.2
2.915  45.9
2.889  22.7
2.742  48.8
2.609  56.2
2.429  53.8
2.343  20.7
2.313  36.5
2.303  100.0
1.618  30.6

Cell and atoms:
a = 16.0269 Å, b = 8.4961 Å, c = 5.8374 Å
α = 90.00°, β = 90.00°, γ = 90.00°
Space group Pnma (No. 62)
Unique sites:
Ca  0.1051  0.2500  0.2460
Ca  0.1410  0.7500  0.0228
Tl  0.0348  0.0490  0.7542
Tl  0.2143  0.5468  0.5089
Pd  0.0713  0.7500  0.5222
Pd  0.1795  0.2500  0.7435